# 1
Starting from a GGA-PBE-relaxed structure, the powder X-ray diffraction pattern of DyTc4B2 was computed for Cu Kα (weighted mean of Kα1 and Kα2).
Peak positions follow from Bragg's law for the DFT cell and can differ from measured ones.

Most intense lines, 2θ from 5° to 70°, by intensity:
| 2θ (°) | I/Imax |
| --- | --- |
| 39.22 | 100 |
| 39.78 | 20 |
| 48.20 | 15 |
| 48.40 | 15 |
| 24.46 | 13 |
| 64.21 | 10 |

Cell and atoms:
abc: 3.7762 13.5959 3.7615
angles: 90.00 90.00 90.00
Space group Cmmm (No. 65)
One atom of each set of equivalent atoms:
Dy (0.0000, 0.0000, 0.0000) [2 per cell]
Tc (0.0000, 0.1732, 0.5000) [4 per cell]
Tc (0.0000, 0.3188, 0.0000) [4 per cell]
B (0.0000, 0.4299, 0.5000) [4 per cell]



# 2
Starting from a GGA-PBE-relaxed structure, the powder X-ray diffraction pattern of Ga2Cu7Ge was computed for Cu Kα (weighted mean of Kα1 and Kα2).
Peak positions follow from Bragg's law for the DFT cell and can differ from measured ones.

Most intense lines, 2θ from 5° to 70°, by intensity:
| 2θ (°) | I/Imax |
| --- | --- |
| 44.46 | 100 |
| 44.79 | 98 |
| 64.95 | 30 |
| 26.83 | 20 |
| 37.35 | 14 |
| 17.96 | 10 |

Cell and atoms:
abc: 4.0751 4.0751 9.8797
angles: 90.00 90.00 120.00
Space group P3m1 (No. 156)
One atom of each set of equivalent atoms:
Ga (0.0000, 0.0000, 0.0000) [1 per cell]
Ga (0.3333, 0.6667, 0.6482) [1 per cell]
Cu (0.0000, 0.0000, 0.2458) [1 per cell]
Cu (0.0000, 0.0000, 0.5025) [1 per cell]
Cu (0.0000, 0.0000, 0.7485) [1 per cell]
Cu (0.3333, 0.6667, 0.3946) [1 per cell]
Cu (0.3333, 0.6667, 0.9122) [1 per cell]
Cu (0.6667, 0.3333, 0.0961) [1 per cell]
Cu (0.6667, 0.3333, 0.8352) [1 per cell]
Ge (0.6667, 0.3333, 0.3468) [1 per cell]



# 3
Starting from a GGA-PBE-relaxed structure, the powder X-ray diffraction pattern of Ga3Ni5Ge2 was computed for Cu Kα (weighted mean of Kα1 and Kα2).
Peak positions follow from Bragg's law for the DFT cell and can differ from measured ones.

Most intense lines, 2θ from 5° to 70°, by intensity:
| 2θ (°) | I/Imax |
| --- | --- |
| 45.75 | 100 |
| 46.48 | 30 |
| 44.66 | 29 |
| 44.76 | 18 |
| 66.49 | 14 |
| 34.04 | 13 |

Cell and atoms:
abc: 3.9077 12.1494 11.1899
angles: 90.00 90.00 90.00
Space group Cmcm (No. 63)
One atom of each set of equivalent atoms:
Ga (0.0000, 0.0000, 0.0000) [4 per cell]
Ga (0.0000, 0.3310, 0.0234) [8 per cell]
Ni (0.0000, 0.1588, 0.1320) [8 per cell]
Ni (0.0000, 0.3389, 0.2500) [4 per cell]
Ni (0.0000, 0.4801, 0.6317) [8 per cell]
Ge (0.0000, 0.0376, 0.7500) [4 per cell]
Ge (0.0000, 0.2911, 0.7500) [4 per cell]



# 4
Starting from a GGA-PBE-relaxed structure, the powder X-ray diffraction pattern of TaTl3S4 was computed for Cu Kα (weighted mean of Kα1 and Kα2).
Peak positions follow from Bragg's law for the DFT cell and can differ from measured ones.

Most intense lines, 2θ from 5° to 70°, by intensity:
| 2θ (°) | I/Imax |
| --- | --- |
| 30.51 | 100 |
| 20.79 | 66 |
| 24.44 | 57 |
| 22.16 | 43 |
| 26.30 | 38 |
| 25.74 | 38 |

Cell and atoms:
abc: 9.5349 11.1276 9.6358
angles: 90.00 90.00 90.00
Space group Pnma (No. 62)
One atom of each set of equivalent atoms:
Ta (0.2007, 0.2500, 0.0337) [4 per cell]
Tl (0.0686, 0.2500, 0.5995) [4 per cell]
Tl (0.0965, 0.5543, 0.8012) [8 per cell]
S (0.0131, 0.7500, 0.0708) [4 per cell]
S (0.1712, 0.5839, 0.4742) [8 per cell]
S (0.1768, 0.2500, 0.2713) [4 per cell]